# 1
The following is a simulated powder X-ray diffraction pattern of RbPmIrO4. It was derived from the PBE geometry in Alexandria, using Cu Kα, 1.54184 Å.

Crystal structure
```
RbPmIrO4
1.0
-3.330 3.737 4.669
3.330 -3.737 4.669
3.330 3.737 -4.669
Rb Pm Ir O
2 2 2 8
Direct
0.398 0.148 0.250
0.602 0.852 0.750
0.000 0.500 0.500
0.500 0.500 0.000
0.000 0.000 0.500
0.000 0.500 0.000
0.165 0.749 0.415
0.166 0.251 0.915
0.220 0.256 0.536
0.220 0.684 0.964
0.780 0.316 0.036
0.780 0.744 0.464
0.834 0.749 0.085
0.835 0.251 0.585
```

The 10 most intense peaks (10 to 90 degrees two-theta), low angle first:
2theta, d (Å), intensity
15.2, 5.836, 928
29.0, 3.077, 714
30.6, 2.918, 815
30.9, 2.892, 1000
31.7, 2.820, 424
33.0, 2.711, 428
36.1, 2.486, 474
46.6, 1.951, 459
48.7, 1.869, 441
53.9, 1.702, 673



# 2
The following is a simulated powder X-ray diffraction pattern of Y2ReMo3. It was derived from the PBE geometry in Alexandria, using Cu Kα, 1.54184 Å.

Crystal structure
```
Y2ReMo3
1.0
4.752 -2.752 0.000
4.752 2.752 0.000
-3.145 0.000 4.498
Y Re Mo
2 1 3
Direct
0.126 0.126 0.374
0.874 0.874 0.626
0.500 0.500 0.000
0.000 0.500 0.000
0.500 0.000 0.000
0.500 0.500 0.500
```

The 10 most intense peaks (10 to 90 degrees two-theta), low angle first:
2theta, d (Å), intensity
19.7, 4.496, 443
32.5, 2.755, 399
38.3, 2.348, 604
38.4, 2.344, 1000
38.5, 2.339, 390
40.1, 2.248, 712
40.3, 2.237, 241
61.9, 1.499, 193
62.0, 1.497, 305
68.3, 1.372, 274